1.
Tl10Hg3Cl16: simulated powder diffractogram (Cu Kα X-rays), based on the PBE geometry in the Materials Project.

Peak list (12 most intense, 10° ≤ 2θ ≤ 80°, in order of rising 2θ)
2θ 21.81, intensity 70
2θ 23.29, intensity 65
2θ 25.23, intensity 46
2θ 29.21, intensity 24
2θ 29.45, intensity 100
2θ 32.75, intensity 53
2θ 34.61, intensity 26
2θ 35.99, intensity 25
2θ 44.46, intensity 36
2θ 46.99, intensity 28
2θ 47.17, intensity 31
2θ 50.05, intensity 27

Crystal structure
```
29
Lattice="-4.324 4.324 12.219 4.324 -4.324 12.219 4.324 4.324 -12.219" Properties=species:S:1:pos:R:3 pbc="T T T"
Tl 2.828 1.184 -2.182
Tl 2.828 1.184 2.182
Tl 0.000 0.000 5.791
Tl 3.140 -1.496 10.037
Tl 3.140 -1.496 14.401
Tl 1.184 5.820 -2.182
Tl 1.184 5.820 2.182
Tl 0.000 0.000 18.648
Tl 1.496 3.140 10.037
Tl 1.496 3.140 14.401
Hg 4.324 0.000 6.110
Hg 0.000 0.000 12.219
Hg 0.000 4.324 6.110
Cl 3.023 -1.508 4.529
Cl 0.000 0.000 2.585
Cl 5.832 -1.301 7.690
Cl 5.632 1.501 0.000
Cl 1.501 3.016 0.000
Cl 5.625 1.508 4.529
Cl 0.000 0.000 9.847
Cl 2.816 1.301 7.690
Cl 1.508 3.023 4.529
Cl 0.000 0.000 14.591
Cl -1.301 2.816 7.690
Cl 2.823 1.308 12.219
Cl -1.308 2.823 12.219
Cl -1.508 5.625 4.529
Cl 0.000 0.000 21.854
Cl 1.301 5.832 7.690
```


2.
Li2CuSiO4: simulated powder diffractogram (Cu Kα X-rays), based on the PBE geometry in the Materials Project.

Peak list (12 most intense, 10° ≤ 2θ ≤ 80°, in order of rising 2θ)
2θ 16.65, intensity 40
2θ 24.49, intensity 100
2θ 28.45, intensity 41
2θ 33.15, intensity 39
2θ 33.66, intensity 28
2θ 36.12, intensity 43
2θ 37.89, intensity 35
2θ 46.63, intensity 20
2θ 48.43, intensity 17
2θ 59.87, intensity 24
2θ 66.12, intensity 21
2θ 71.95, intensity 16

Crystal structure
```
16
Lattice="6.273 0.000 0.000 0.000 5.326 0.000 0.000 0.000 4.973" Properties=species:S:1:pos:R:3 pbc="T T T"
Li 1.560 0.899 0.000
Li 1.576 4.427 2.487
Li 4.697 4.427 2.487
Li 4.713 0.899 0.000
Cu 0.000 3.625 4.927
Cu 3.136 1.700 2.440
Si 0.000 1.817 2.515
Si 3.136 3.509 0.028
O 0.000 1.782 4.169
O 0.000 3.388 1.994
O 1.352 1.023 1.986
O 1.784 4.303 4.473
O 3.136 1.938 4.481
O 3.136 3.543 1.682
O 4.489 4.303 4.473
O 4.920 1.023 1.986
```


3.
RbFe2As2: simulated powder diffractogram (Cu Kα X-rays), based on the PBE geometry in the Materials Project.

Peak list (12 most intense, 10° ≤ 2θ ≤ 80°, in order of rising 2θ)
2θ 12.22, intensity 30
2θ 30.14, intensity 100
2θ 33.74, intensity 10
2θ 36.01, intensity 25
2θ 42.19, intensity 15
2θ 48.46, intensity 30
2θ 50.38, intensity 6
2θ 51.12, intensity 45
2θ 58.13, intensity 30
2θ 62.80, intensity 8
2θ 70.96, intensity 9
2θ 72.50, intensity 7

Crystal structure
```
5
Lattice="-1.878 1.878 7.244 1.878 -1.878 7.244 1.878 1.878 -7.244" Properties=species:S:1:pos:R:3 pbc="T T T"
Rb 0.000 0.000 0.000
Fe 1.878 0.000 3.622
Fe 0.000 1.878 3.622
As 0.000 0.000 5.022
As 0.000 0.000 9.466
```